The following is a computed powder X-ray diffraction pattern of PmV2ReO8. It was derived from a structure optimized by DFT (PBE+U), using Cu Kα (weighted mean of Kα1 and Kα2).

Peak list (10 most intense, 5 to 70 degrees two-theta, in order of rising 2θ)
| d (Å) | I/Imax |
| --- | --- |
| 4.738 | 64 |
| 3.421 | 63 |
| 3.284 | 54 |
| 2.672 | 100 |
| 2.369 | 24 |
| 2.305 | 26 |
| 2.154 | 15 |
| 1.793 | 42 |
| 1.753 | 36 |
| 1.419 | 22 |

Structure:
```
data_PmV2ReO8
_chemical_formula_sum 'Pm1 V2 Re1 O8'
_symmetry_space_group_name_H-M 'P 1'
_symmetry_Int_Tables_number 1
_cell_length_a 4.7417
_cell_length_b 4.7417
_cell_length_c 6.4700
_cell_angle_alpha 90.00
_cell_angle_beta 90.00
_cell_angle_gamma 92.34
loop_
_symmetry_equiv_pos_as_xyz
'x,y,z'
loop_
_atom_site_label
_atom_site_fract_x
_atom_site_fract_y
_atom_site_fract_z
Pm1 0.0000 0.0000 0.0000
V1 0.5000 0.5000 0.2461
V2 0.5000 0.5000 0.7539
Re1 0.0000 0.0000 0.5000
O1 0.2127 0.2127 0.2891
O2 0.2127 0.2127 0.7109
O3 0.2844 0.7156 0.5000
O4 0.3286 0.6714 0.0000
O5 0.6714 0.3286 0.0000
O6 0.7156 0.2844 0.5000
O7 0.7873 0.7873 0.2891
O8 0.7873 0.7873 0.7109
```